1.
Starting from a GGA-PBE-relaxed structure, the X-ray powder pattern of ZnCdS2 was simulated for Cu Kα (weighted mean of Kα1 and Kα2).

Crystal structure
abc: 3.9915 6.5762 6.9971
angles: 90.00 90.00 90.00
Fractional coordinates of all 8 atoms:
Zn 0.0007 0.0000 0.3383
Zn 0.9993 0.5000 0.6617
Cd 0.4998 0.0035 0.8287
Cd 0.5002 0.5035 0.1713
S 0.0002 0.3591 0.3525
S 0.9998 0.8591 0.6475
S 0.4995 0.3937 0.8192
S 0.5005 0.8937 0.1808

The 6 most intense peaks (5° ≤ 2θ ≤ 70°), sorted by position:
Position (°2θ), I/Imax
25.7, 687
27.1, 717
28.9, 501
29.1, 1000
45.0, 548
49.2, 558



2.
Starting from a GGA-PBE-relaxed structure, the X-ray powder pattern of ZnCd3S4 was simulated for Cu Kα (weighted mean of Kα1 and Kα2).

Crystal structure
abc: 5.8031 5.8031 5.8031
angles: 90.00 90.00 90.00
Fractional coordinates of all 8 atoms:
Zn 0.0000 0.0000 0.0000
Cd 0.0000 0.5000 0.5000
Cd 0.5000 0.0000 0.5000
Cd 0.5000 0.5000 0.0000
S 0.2367 0.2367 0.2367
S 0.2367 0.7633 0.7633
S 0.7633 0.2367 0.7633
S 0.7633 0.7633 0.2367

The 6 most intense peaks (5° ≤ 2θ ≤ 70°), sorted by position:
Position (°2θ), I/Imax
26.6, 1000
30.8, 215
44.1, 567
52.3, 434
54.8, 58
64.2, 86



3.
Starting from a GGA-PBE-relaxed structure, the X-ray powder pattern of ZnCd4S5 was simulated for Cu Kα (weighted mean of Kα1 and Kα2).

Crystal structure
abc: 17.0835 17.0835 17.0835
angles: 13.84 13.84 13.84
Fractional coordinates of all 10 atoms:
Zn 0.0000 0.0000 0.0000
Cd 0.2006 0.2006 0.2006
Cd 0.3969 0.3969 0.3969
Cd 0.6025 0.6025 0.6025
Cd 0.7988 0.7988 0.7988
S 0.1503 0.1503 0.1503
S 0.3464 0.3464 0.3464
S 0.5521 0.5521 0.5521
S 0.7485 0.7485 0.7485
S 0.9537 0.9537 0.9537

The 6 most intense peaks (5° ≤ 2θ ≤ 70°), sorted by position:
Position (°2θ), I/Imax
26.3, 317
26.5, 1000
30.7, 286
43.8, 358
44.0, 378
52.0, 420



4.
Starting from a GGA-PBE-relaxed structure, the X-ray powder pattern of ZrCdS3 was simulated for Cu Kα (weighted mean of Kα1 and Kα2).

Crystal structure
abc: 6.4734 3.8294 10.3534
angles: 90.00 90.30 90.00
Fractional coordinates of all 10 atoms:
Zr 0.2384 0.2500 0.0484
Zr 0.7616 0.7500 0.9516
Cd 0.4168 0.2500 0.6131
Cd 0.5832 0.7500 0.3869
S 0.0101 0.7500 0.1400
S 0.2293 0.7500 0.5117
S 0.4897 0.7500 0.1340
S 0.5103 0.2500 0.8660
S 0.7707 0.2500 0.4883
S 0.9899 0.2500 0.8600

The 6 most intense peaks (5° ≤ 2θ ≤ 70°), sorted by position:
Position (°2θ), I/Imax
13.7, 655
16.2, 691
17.1, 743
28.4, 621
37.4, 1000
37.8, 655



5.
Starting from a GGA-PBE-relaxed structure, the X-ray powder pattern of ZrCd2S4 was simulated for Cu Kα (weighted mean of Kα1 and Kα2).

Crystal structure
abc: 7.8565 7.8565 10.8271
angles: 90.00 90.00 90.00
Fractional coordinates of all 28 atoms:
Zr 0.0000 0.2487 0.0000
Zr 0.0000 0.7513 0.5000
Zr 0.2487 0.0000 0.7500
Zr 0.7513 0.0000 0.2500
Cd 0.2540 0.2540 0.3750
Cd 0.2540 0.7460 0.1250
Cd 0.2570 0.5000 0.7500
Cd 0.5000 0.2570 0.0000
Cd 0.5000 0.7430 0.5000
Cd 0.7430 0.5000 0.2500
Cd 0.7460 0.2540 0.6250
Cd 0.7460 0.7460 0.8750
S 0.0134 0.2351 0.7621
S 0.0134 0.7649 0.7379
S 0.2351 0.0134 0.9879
S 0.2351 0.9866 0.5121
S 0.2365 0.4746 0.9976
S 0.2365 0.5254 0.5024
S 0.4746 0.2365 0.7524
S 0.4746 0.7635 0.7476
S 0.5254 0.2365 0.2476
S 0.5254 0.7635 0.2524
S 0.7635 0.4746 0.0024
S 0.7635 0.5254 0.4976
S 0.7649 0.0134 0.0121
S 0.7649 0.9866 0.4879
S 0.9866 0.2351 0.2379
S 0.9866 0.7649 0.2621

The 6 most intense peaks (5° ≤ 2θ ≤ 70°), sorted by position:
Position (°2θ), I/Imax
22.9, 301
26.7, 1000
27.2, 499
42.3, 384
46.2, 319
46.9, 622



6.
Starting from a GGA-PBE-relaxed structure, the X-ray powder pattern of CdSb was simulated for Cu Kα (weighted mean of Kα1 and Kα2).

Crystal structure
abc: 4.1998 4.9452 6.4544
angles: 108.93 91.12 115.01
Fractional coordinates of all 4 atoms:
Cd 0.1113 0.2124 0.3787
Cd 0.8887 0.7876 0.6213
Sb 0.3463 0.6772 0.1727
Sb 0.6537 0.3228 0.8273

The 6 most intense peaks (5° ≤ 2θ ≤ 70°), sorted by position:
Position (°2θ), I/Imax
29.6, 498
29.8, 1000
30.4, 890
37.0, 306
37.1, 262
43.1, 667



7.
Starting from a GGA-PBE-relaxed structure, the X-ray powder pattern of Cd5Sb4 was simulated for Cu Kα (weighted mean of Kα1 and Kα2).

Crystal structure
abc: 9.2984 9.2984 6.7367
angles: 90.00 90.00 120.00
Fractional coordinates of all 18 atoms:
Cd 0.0000 0.2624 0.2500
Cd 0.0000 0.7376 0.7500
Cd 0.2624 0.0000 0.2500
Cd 0.2624 0.2624 0.7500
Cd 0.3333 0.6667 0.0000
Cd 0.3333 0.6667 0.5000
Cd 0.6667 0.3333 0.0000
Cd 0.6667 0.3333 0.5000
Cd 0.7376 0.0000 0.7500
Cd 0.7376 0.7376 0.2500
Sb 0.0000 0.0000 0.0000
Sb 0.0000 0.0000 0.5000
Sb 0.0000 0.4391 0.7500
Sb 0.0000 0.5609 0.2500
Sb 0.4391 0.0000 0.7500
Sb 0.4391 0.4391 0.2500
Sb 0.5609 0.0000 0.2500
Sb 0.5609 0.5609 0.7500

The 6 most intense peaks (5° ≤ 2θ ≤ 70°), sorted by position:
Position (°2θ), I/Imax
32.3, 697
32.8, 1000
33.4, 364
38.7, 141
42.6, 239
50.5, 192



8.
Starting from a GGA-PBE-relaxed structure, the X-ray powder pattern of CdSb3 was simulated for Cu Kα (weighted mean of Kα1 and Kα2).

Crystal structure
abc: 7.2634 7.5986 8.4165
angles: 90.00 90.00 90.00
Fractional coordinates of all 16 atoms:
Cd 0.0962 0.2500 0.1211
Cd 0.4038 0.7500 0.6211
Cd 0.5962 0.2500 0.3789
Cd 0.9038 0.7500 0.8789
Sb 0.0727 0.2500 0.6286
Sb 0.2479 0.5099 0.8773
Sb 0.2479 0.9901 0.8773
Sb 0.2521 0.0099 0.3773
Sb 0.2521 0.4901 0.3773
Sb 0.4273 0.7500 0.1286
Sb 0.5727 0.2500 0.8714
Sb 0.7479 0.5099 0.6227
Sb 0.7479 0.9901 0.6227
Sb 0.7521 0.0099 0.1227
Sb 0.7521 0.4901 0.1227
Sb 0.9273 0.7500 0.3714

The 6 most intense peaks (5° ≤ 2θ ≤ 70°), sorted by position:
Position (°2θ), I/Imax
27.2, 588
34.1, 1000
43.0, 154
43.1, 300
43.5, 162
66.3, 236



9.
Starting from a GGA-PBE-relaxed structure, the X-ray powder pattern of CdSb4 was simulated for Cu Kα (weighted mean of Kα1 and Kα2).

Crystal structure
abc: 5.8228 5.8228 5.8228
angles: 102.62 102.62 124.27
Fractional coordinates of all 5 atoms:
Cd 0.0000 0.0000 0.0000
Sb 0.2312 0.3608 0.5920
Sb 0.3608 0.7688 0.1295
Sb 0.6392 0.2312 0.8705
Sb 0.7688 0.6392 0.4080

The 6 most intense peaks (5° ≤ 2θ ≤ 70°), sorted by position:
Position (°2θ), I/Imax
32.0, 1000
32.9, 285
39.1, 243
52.0, 209
58.2, 175
66.5, 159



10.
Starting from a GGA-PBE-relaxed structure, the X-ray powder pattern of CdSb was simulated for Cu Kα (weighted mean of Kα1 and Kα2).

Crystal structure
abc: 3.3640 3.3640 4.7342
angles: 90.00 90.00 103.66
Fractional coordinates of all 2 atoms:
Cd 0.0000 0.0000 0.0000
Sb 0.5000 0.5000 0.5000

The 6 most intense peaks (5° ≤ 2θ ≤ 70°), sorted by position:
Position (°2θ), I/Imax
33.3, 1000
33.9, 238
38.0, 174
51.8, 138
60.3, 173
65.7, 133



11.
Starting from a GGA-PBE-relaxed structure, the X-ray powder pattern of Cd3Sb2 was simulated for Cu Kα (weighted mean of Kα1 and Kα2).

Crystal structure
abc: 11.2089 7.2677 7.0622
angles: 90.00 90.00 90.00
Fractional coordinates of all 20 atoms:
Cd 0.0000 0.0689 0.2500
Cd 0.0000 0.9311 0.7500
Cd 0.1225 0.3820 0.5524
Cd 0.1225 0.6180 0.0524
Cd 0.3775 0.1180 0.0524
Cd 0.3775 0.8820 0.5524
Cd 0.5000 0.4311 0.7500
Cd 0.5000 0.5689 0.2500
Cd 0.6225 0.1180 0.4476
Cd 0.6225 0.8820 0.9476
Cd 0.8775 0.3820 0.9476
Cd 0.8775 0.6180 0.4476
Sb 0.1398 0.2320 0.9425
Sb 0.1398 0.7680 0.4425
Sb 0.3602 0.2680 0.4425
Sb 0.3602 0.7320 0.9425
Sb 0.6398 0.2680 0.0575
Sb 0.6398 0.7320 0.5575
Sb 0.8602 0.2320 0.5575
Sb 0.8602 0.7680 0.0575

The 6 most intense peaks (5° ≤ 2θ ≤ 70°), sorted by position:
Position (°2θ), I/Imax
26.8, 325
28.8, 519
29.2, 582
31.9, 410
41.1, 1000
42.6, 717



12.
Starting from a GGA-PBE-relaxed structure, the X-ray powder pattern of Cd5Sb3 was simulated for Cu Kα (weighted mean of Kα1 and Kα2).

Crystal structure
abc: 6.3024 6.3024 5.1111
angles: 90.00 90.00 90.39
Fractional coordinates of all 8 atoms:
Cd 0.0000 0.0000 0.0000
Cd 0.0000 0.5000 0.0000
Cd 0.2415 0.7585 0.5000
Cd 0.5000 0.0000 0.0000
Cd 0.7585 0.2415 0.5000
Sb 0.2523 0.2523 0.5000
Sb 0.5000 0.5000 0.0000
Sb 0.7477 0.7477 0.5000

The 6 most intense peaks (5° ≤ 2θ ≤ 70°), sorted by position:
Position (°2θ), I/Imax
33.4, 1000
35.1, 219
40.3, 146
40.6, 145
54.5, 118
61.9, 160



13.
Starting from a GGA-PBE-relaxed structure, the X-ray powder pattern of Cd4Sb5 was simulated for Cu Kα (weighted mean of Kα1 and Kα2).

Crystal structure
abc: 8.7825 8.7825 7.3614
angles: 90.00 90.00 120.00
Fractional coordinates of all 18 atoms:
Cd 0.0000 0.0000 0.0000
Cd 0.0000 0.0000 0.5000
Cd 0.0000 0.2781 0.2500
Cd 0.0000 0.7219 0.7500
Cd 0.2781 0.0000 0.2500
Cd 0.2781 0.2781 0.7500
Cd 0.7219 0.0000 0.7500
Cd 0.7219 0.7219 0.2500
Sb 0.0000 0.3873 0.7500
Sb 0.0000 0.6127 0.2500
Sb 0.3333 0.6667 0.0000
Sb 0.3333 0.6667 0.5000
Sb 0.3873 0.0000 0.7500
Sb 0.3873 0.3873 0.2500
Sb 0.6127 0.0000 0.2500
Sb 0.6127 0.6127 0.7500
Sb 0.6667 0.3333 0.0000
Sb 0.6667 0.3333 0.5000

The 6 most intense peaks (5° ≤ 2θ ≤ 70°), sorted by position:
Position (°2θ), I/Imax
31.7, 1000
33.5, 386
35.4, 578
48.3, 214
61.3, 145
62.3, 213